Diffraction record for Nd8Ga48Cu3. The powder diffraction line list is theoretical, not measured: it uses DFT lattice parameters and positions (PBE) and Cu Ka.

Structure:
a b c (Å): 6.1385 6.1385 30.7449
angles (deg): 90.00 90.00 90.00
Element x y z (fractional)
Nd (0.0000, 0.0000, 0.1230)
Nd (0.0000, 0.0000, 0.3761)
Nd (0.0000, 0.0000, 0.6239)
Nd (0.0000, 0.0000, 0.8770)
Nd (0.5000, 0.5000, 0.1230)
Nd (0.5000, 0.5000, 0.3764)
Nd (0.5000, 0.5000, 0.6236)
Nd (0.5000, 0.5000, 0.8770)
Ga (0.0000, 0.5000, 0.0890)
Ga (0.0000, 0.5000, 0.1684)
Ga (0.0000, 0.5000, 0.3316)
Ga (0.0000, 0.5000, 0.4114)
Ga (0.0000, 0.5000, 0.5886)
Ga (0.0000, 0.5000, 0.6684)
Ga (0.0000, 0.5000, 0.8316)
Ga (0.0000, 0.5000, 0.9110)
Ga (0.1821, 0.1821, 0.2130)
Ga (0.1821, 0.8179, 0.7870)
Ga (0.1826, 0.1826, 0.7130)
Ga (0.1826, 0.8174, 0.2870)
Ga (0.2435, 0.2435, 0.4586)
Ga (0.2435, 0.7565, 0.5414)
Ga (0.2458, 0.2458, 0.5415)
Ga (0.2458, 0.7542, 0.4585)
Ga (0.2491, 0.2491, 0.9574)
Ga (0.2491, 0.7509, 0.0426)
Ga (0.2508, 0.2508, 0.0426)
Ga (0.2508, 0.7492, 0.9574)
Ga (0.3178, 0.3178, 0.2869)
Ga (0.3180, 0.3180, 0.7870)
Ga (0.3180, 0.6820, 0.2130)
Ga (0.3178, 0.6822, 0.7131)
Ga (0.5000, 0.0000, 0.0890)
Ga (0.5000, 0.0000, 0.1684)
Ga (0.5000, 0.0000, 0.3316)
Ga (0.5000, 0.0000, 0.4114)
Ga (0.5000, 0.0000, 0.5886)
Ga (0.5000, 0.0000, 0.6684)
Ga (0.5000, 0.0000, 0.8316)
Ga (0.5000, 0.0000, 0.9110)
Ga (0.6820, 0.3180, 0.2130)
Ga (0.6822, 0.3178, 0.7131)
Ga (0.6822, 0.6822, 0.2869)
Ga (0.6820, 0.6820, 0.7870)
Ga (0.7492, 0.2508, 0.9574)
Ga (0.7492, 0.7492, 0.0426)
Ga (0.7509, 0.2491, 0.0426)
Ga (0.7509, 0.7509, 0.9574)
Ga (0.7542, 0.2458, 0.4585)
Ga (0.7542, 0.7542, 0.5415)
Ga (0.7565, 0.2435, 0.5414)
Ga (0.7565, 0.7565, 0.4586)
Ga (0.8174, 0.1826, 0.2870)
Ga (0.8174, 0.8174, 0.7130)
Ga (0.8179, 0.1821, 0.7870)
Ga (0.8179, 0.8179, 0.2130)
Cu (0.0000, 0.0000, 0.0000)
Cu (0.5000, 0.5000, 0.0000)
Cu (0.5000, 0.5000, 0.5000)

Peak list (10 most intense, 10° ≤ 2θ ≤ 90°, in order of rising 2θ)
- 2θ 31.08, I = 48, hkl 1 1 8
- 2θ 31.38, I = 100, hkl 2 0 4
- 2θ 37.50, I = 26, hkl 2 0 8
- 2θ 40.90, I = 36, hkl 1 1 12
- 2θ 41.61, I = 67, hkl 2 2 0
- 2θ 46.15, I = 21, hkl 2 0 12
- 2θ 52.84, I = 26, hkl 3 1 8
- 2θ 60.31, I = 14, hkl 4 0 0
- 2θ 68.73, I = 20, hkl 3 1 16
- 2θ 69.57, I = 13, hkl 4 2 4


Diffraction record for Zn5B3Ir7. The powder diffraction line list is theoretical, not measured: it uses DFT lattice parameters and positions (PBE) and Cu Ka.

Structure:
a b c (Å): 10.9555 2.8637 12.4419
angles (deg): 90.00 90.00 90.00
Element x y z (fractional)
Zn (0.0498, 0.0000, 0.1538)
Zn (0.1182, 0.0000, 0.3572)
Zn (0.2500, 0.0000, 0.0630)
Zn (0.3818, 0.0000, 0.3572)
Zn (0.4502, 0.0000, 0.1538)
Zn (0.5498, 0.0000, 0.8462)
Zn (0.6182, 0.0000, 0.6428)
Zn (0.7500, 0.0000, 0.9370)
Zn (0.8818, 0.0000, 0.6428)
Zn (0.9502, 0.0000, 0.8462)
B (0.1240, 0.0000, 0.5910)
B (0.2500, 0.0000, 0.8487)
B (0.3760, 0.0000, 0.5910)
B (0.6240, 0.0000, 0.4090)
B (0.7500, 0.0000, 0.1513)
B (0.8760, 0.0000, 0.4090)
Ir (0.0000, 0.5000, 0.5000)
Ir (0.1111, 0.5000, 0.7175)
Ir (0.1212, 0.5000, 0.9349)
Ir (0.2500, 0.5000, 0.2310)
Ir (0.2500, 0.5000, 0.5145)
Ir (0.3788, 0.5000, 0.9349)
Ir (0.3889, 0.5000, 0.7175)
Ir (0.5000, 0.5000, 0.5000)
Ir (0.6111, 0.5000, 0.2825)
Ir (0.6212, 0.5000, 0.0651)
Ir (0.7500, 0.5000, 0.4855)
Ir (0.7500, 0.5000, 0.7690)
Ir (0.8788, 0.5000, 0.0651)
Ir (0.8889, 0.5000, 0.2825)

Peak list (10 most intense, 10° ≤ 2θ ≤ 90°, in order of rising 2θ)
- 2θ 25.42, I = 59, hkl 3 0 1
- 2θ 31.23, I = 77, hkl 0 1 0
- 2θ 38.00, I = 37, hkl 3 0 4
- 2θ 39.43, I = 80, hkl 4 0 3
- 2θ 40.69, I = 100, hkl 3 1 1
- 2θ 42.93, I = 77, hkl 0 1 4
- 2θ 43.77, I = 57, hkl 1 1 4
- 2θ 44.04, I = 56, hkl 3 0 5
- 2θ 46.46, I = 80, hkl 4 1 1
- 2θ 65.15, I = 54, hkl 0 2 0


Diffraction record for FeCoSi. The powder diffraction line list is theoretical, not measured: it uses DFT lattice parameters and positions (PBE) and Cu Ka.

Structure:
a b c (Å): 4.8866 3.7806 7.1258
angles (deg): 90.00 90.00 90.00
Element x y z (fractional)
Fe (0.0444, 0.2500, 0.2260)
Fe (0.4556, 0.7500, 0.7260)
Fe (0.5444, 0.2500, 0.2740)
Fe (0.9556, 0.7500, 0.7740)
Co (0.1783, 0.2500, 0.5637)
Co (0.3217, 0.7500, 0.0637)
Co (0.6783, 0.2500, 0.9363)
Co (0.8217, 0.7500, 0.4363)
Si (0.2078, 0.2500, 0.8940)
Si (0.2922, 0.7500, 0.3940)
Si (0.7078, 0.2500, 0.6060)
Si (0.7922, 0.7500, 0.1060)

Peak list (10 most intense, 10° ≤ 2θ ≤ 90°, in order of rising 2θ)
- 2θ 32.47, I = 15, hkl 1 1 1
- 2θ 39.34, I = 10, hkl 1 1 2
- 2θ 44.13, I = 38, hkl 2 1 0
- 2θ 45.05, I = 100, hkl 0 1 3
- 2θ 46.03, I = 47, hkl 2 1 1
- 2θ 48.14, I = 36, hkl 0 2 0
- 2θ 53.83, I = 17, hkl 2 0 3
- 2θ 68.00, I = 14, hkl 2 2 2
- 2θ 75.07, I = 12, hkl 2 2 3
- 2θ 84.61, I = 11, hkl 3 1 4